(1)
For TiAl, a structure optimized by DFT (GGA-PBE) gives the simulated X-ray diffraction stick pattern in this record (Cu Kα (λ = 1.5418 Å)).
No peak broadening, texture or thermal motion is included.

Principal peaks in the range 2θ = 10–90°, by angle:
- 28.04°, I 10
- 40.06°, I 100
- 49.61°, I 2
- 57.95°, I 16
- 65.59°, I 2
- 72.79°, I 30
- 86.49°, I 9

Crystal structure
```
TiAl
1.0
3.1827 0.0000 0.0000
0.0000 3.1827 0.0000
0.0000 0.0000 3.1827
Ti Al
1 1
direct
0.0000 0.0000 0.0000
0.5000 0.5000 0.5000
```

***

(2)
For Ti5Al2, a structure optimized by DFT (GGA-PBE) gives the simulated X-ray diffraction stick pattern in this record (Cu Kα (λ = 1.5418 Å)).
No peak broadening, texture or thermal motion is included.

Principal peaks in the range 2θ = 10–90°, by angle:
- 24.84°, I 3
- 38.54°, I 100
- 42.92°, I 18
- 44.64°, I 16
- 46.77°, I 14
- 63.65°, I 10
- 65.34°, I 9
- 66.65°, I 9
- 75.71°, I 12
- 78.16°, I 11
- 81.26°, I 10
- 82.60°, I 9

Crystal structure
```
Ti5Al2
1.0
4.6792 -1.9423 0.0000
4.6792 1.9423 0.0000
-0.7463 0.0000 6.3987
Ti Al
5 2
direct
0.0000 0.0000 0.0000
0.1442 0.1442 0.4266
0.2824 0.2824 0.8580
0.7176 0.7176 0.1420
0.8558 0.8558 0.5734
0.4284 0.4284 0.2867
0.5716 0.5716 0.7133
```

***

(3)
For Ti12Al3Tl, a structure optimized by DFT (GGA-PBE) gives the simulated X-ray diffraction stick pattern in this record (Cu Kα (λ = 1.5418 Å)).
No peak broadening, texture or thermal motion is included.

Principal peaks in the range 2θ = 10–90°, by angle:
- 17.23°, I 32
- 19.28°, I 32
- 25.97°, I 23
- 34.87°, I 45
- 35.98°, I 15
- 39.14°, I 100
- 43.05°, I 98
- 65.38°, I 20
- 68.18°, I 48
- 73.62°, I 14
- 84.12°, I 13
- 86.70°, I 17

Crystal structure
```
Ti12Al3Tl
1.0
5.1470 0.0000 0.0000
0.0000 5.1473 0.0000
0.0000 0.0000 10.2897
Ti Al Tl
12 3 1
direct
0.0000 0.0000 0.1237
0.0000 0.0000 0.3713
0.0000 0.0000 0.6287
0.0000 0.0000 0.8763
0.2443 0.5000 0.5000
0.2512 0.5000 0.0000
0.5000 0.2523 0.2447
0.5000 0.2523 0.7553
0.5000 0.7477 0.2447
0.5000 0.7477 0.7553
0.7488 0.5000 0.0000
0.7557 0.5000 0.5000
0.0000 0.5000 0.2502
0.0000 0.5000 0.7498
0.5000 0.0000 0.0000
0.5000 0.0000 0.5000
```